Diffraction record for CeSe2. The powder XRD pattern is computed, not measured: it uses a crystal structure in the Materials Project, relaxed with GGA-PBE and a wavelength of 1.5418 Å.
Kinematic intensities with the Lorentz-polarization factor, no thermal factor.

Structure:
Lattice parameters (Å, degrees): 7.985 16.003 24.795 90.00 90.00 90.00
Space group Fddd (No. 70, origin choice 2)
Inequivalent atoms, fractional coordinates:
Ce  0.125  0.125  0.312 [16 per cell]
Se  0.000  0.000  0.000 [16 per cell]
Se  0.125  0.313  0.625 [16 per cell]

The 12 most intense peaks (5 to 70 degrees two-theta), most intense first:
hkl 1 1 3, 16.40°, rel. 100.0
hkl 0 2 2, 13.17°, rel. 83.6
hkl 1 3 5, 26.97°, rel. 43.2
hkl 1 1 1, 12.89°, rel. 23.2
hkl 2 2 8, 38.45°, rel. 19.7
hkl 2 0 6, 31.15°, rel. 14.4
hkl 0 4 8, 36.68°, rel. 13.6
hkl 1 3 11, 45.12°, rel. 12.4
hkl 3 5 3, 45.67°, rel. 10.3
hkl 0 8 4, 47.83°, rel. 9.4
hkl 2 2 2, 25.96°, rel. 9.2
hkl 3 3 1, 37.96°, rel. 9.1